For SrTaCo, a crystal structure in OQMD, relaxed with PBE gives the theoretical powder XRD pattern in this record (a wavelength of 1.5418 Å).
Kinematic intensities with the Lorentz-polarization factor, no thermal factor.

Top 12 peaks for 2θ from 10° to 80°, by angle:
two_theta	I_rel
11.6	1000
31.2	289
31.4	524
37.6	488
41.6	359
43.3	162
46.3	113
52.9	124
55.6	123
56.7	218
60.3	118
73.3	138

Cell lengths 4.339, 4.339, 7.650 Å; angles 90.00, 90.00, 90.00 degrees
Sites, in units of the cell vectors:
Sr 0.250 0.250 0.157
Sr 0.750 0.750 0.843
Ta 0.250 0.750 0.500
Ta 0.750 0.250 0.500
Co 0.250 0.250 0.654
Co 0.750 0.750 0.346